For TbSm2As3, a cell relaxed with PBE gives the calculated X-ray diffraction stick pattern in this record (Cu Kα X-rays).
Lines closer than 0.1° are merged.

Peak list (8 most intense, 2θ = 15–90°, low angle first)
(1 1 0), 2θ = 26.05°, d = 3.421 Å, I 20; (1 0 3), 2θ = 30.16°, d = 2.963 Å, I 100; (2 0 0), 2θ = 43.18°, d = 2.095 Å, I 75; (1 1 6), 2θ = 51.12°, d = 1.787 Å, I 10; (2 2 0), 2θ = 53.57°, d = 1.711 Å, I 26; (0 4 0), 2θ = 62.72°, d = 1.481 Å, I 12; (3 0 3), 2θ = 71.16°, d = 1.325 Å, I 34; (3 2 3), 2θ = 79.19°, d = 1.210 Å, I 25

```
data_TbSm2As3
_cell_length_a 4.1937
_cell_length_b 5.9234
_cell_length_c 12.5641
_cell_angle_alpha 90.00
_cell_angle_beta 90.00
_cell_angle_gamma 90.00
_space_group_name_H-M_alt 'P 1'
_space_group_IT_number 1
loop_
_space_group_symop_operation_xyz
'x,y,z'
loop_
_atom_site_label
_atom_site_fract_x
_atom_site_fract_y
_atom_site_fract_z
Tb1 0.0000 0.0000 0.0000
Tb2 0.5000 0.5000 0.5000
Sm1 0.0000 0.0000 0.3329
Sm2 0.0000 0.0000 0.6671
Sm3 0.5000 0.5000 0.1671
Sm4 0.5000 0.5000 0.8329
As1 0.0000 0.5000 0.0000
As2 0.0000 0.5000 0.3358
As3 0.0000 0.5000 0.6642
As4 0.5000 0.0000 0.1642
As5 0.5000 0.0000 0.5000
As6 0.5000 0.0000 0.8358
```